The following is a calculated PXRD pattern of Li2WF2. It was derived from a structure optimized by DFT (PBE+U), using copper Kα.
Neutral-atom scattering factors, no anomalous dispersion.

Main lines, most intense first (2θ from 10° to 90°):
2θ/deg, Rel. int.
24.9, 100
31.6, 58
36.9, 50
13.5, 50
27.2, 33
42.2, 24
55.8, 22
59.5, 20

Crystal structure
abc: 7.054 7.054 7.054
angles: 149.46 149.46 43.73
Element x y z (fractional)
Li (0.228, 0.228, 0.000)
Li (0.772, 0.772, 0.000)
W (0.500, 0.500, 0.000)
F (0.250, 0.750, 0.500)
F (0.750, 0.250, 0.500)